# HfMg6VO8
Theoretical powder diffraction line list, CuKα. Input: a cell relaxed with PBE+U.
No peak broadening, texture or thermal motion is included.

Peak list (10 most intense, 10 to 90 degrees two-theta, in order of falling intensity)
2θ (°)  I/Imax  h k l
10.03  100  0 0 1
41.64  64  2 0 0
35.65  47  1 1 2
59.80  39  2 0 4
22.84  36  1 0 1
30.86  35  1 1 1
40.91  33  0 0 4
20.13  25  0 0 2
20.47  23  1 0 0
28.87  21  1 0 2

Cell: 4.3379 4.3379 8.8228 Å, 90.00 90.00 90.00°
Space group P4/mmm (No. 123)
Inequivalent atoms, fractional coordinates:
Hf 0.0000 0.0000 0.0000 (multiplicity 1)
Mg 0.0000 0.0000 0.5000 (multiplicity 1)
Mg 0.0000 0.5000 0.2590 (multiplicity 4)
Mg 0.5000 0.5000 0.5000 (multiplicity 1)
V 0.5000 0.5000 0.0000 (multiplicity 1)
O 0.0000 0.0000 0.2578 (multiplicity 2)
O 0.0000 0.5000 0.0000 (multiplicity 2)
O 0.0000 0.5000 0.5000 (multiplicity 2)
O 0.5000 0.5000 0.2571 (multiplicity 2)